Simulated powder diffraction line list of LaGd3 for Cu Kα X-rays, from a PBE-relaxed structure.
Intensities are scaled so that the largest is 100.

Principal peaks in the range 2θ = 10–80°, by angle:
2theta	I/Imax	hkl
27.95	23	2 0 0
30.38	25	0 0 2
31.90	100	2 0 1
41.75	16	2 0 2
49.46	20	2 2 0
54.94	21	2 0 3
59.16	23	2 2 2
60.07	16	4 0 1
63.21	3	0 0 4
66.67	4	4 0 2
70.48	3	2 0 4
77.03	8	4 0 3

Structure:
Unit cell a=7.371 b=7.371 c=5.884 alpha=90.00 beta=90.00 gamma=120.00
Element x y z (fractional)
La: 0.333 0.667 0.250
La: 0.667 0.333 0.750
Gd: 0.165 0.331 0.750
Gd: 0.165 0.835 0.750
Gd: 0.331 0.165 0.250
Gd: 0.669 0.835 0.750
Gd: 0.835 0.165 0.250
Gd: 0.835 0.669 0.250